This entry pairs a crystal structure of Er2Tl2H with its theoretical powder diffractogram. Radiation: Cu Kα (λ = 1.5418 Å). Structure: a crystal structure in Alexandria, relaxed with GGA-PBE.

Peak list (6 most intense, 2θ from 15° to 90°, sorted by position)
| two_theta | d_spacing | I/Imax |
| --- | --- | --- |
| 30.74 | 2.908 | 100 |
| 30.94 | 2.891 | 35 |
| 34.19 | 2.623 | 59 |
| 34.47 | 2.602 | 40 |
| 34.67 | 2.587 | 42 |
| 55.89 | 1.645 | 24 |

Crystal structure
a b c (Å): 6.2951 6.2951 10.3482
angles (deg): 90.00 90.00 146.04
Positions (direct):
Er (0.0520, 0.9480, 0.5000)
Er (0.3429, 0.6571, 0.2668)
Er (0.6571, 0.3429, 0.7668)
Er (0.9480, 0.0520, 0.0000)
Tl (0.2201, 0.7799, 0.0037)
Tl (0.4004, 0.5996, 0.7194)
Tl (0.5996, 0.4004, 0.2194)
Tl (0.7799, 0.2201, 0.5037)
H (0.1052, 0.8948, 0.6923)
H (0.8948, 0.1052, 0.1923)

***

This entry pairs a crystal structure of Na3PmPu2Te6 with its theoretical powder diffractogram. Radiation: Cu Kα (λ = 1.5418 Å). Structure: a crystal structure in Alexandria, relaxed with GGA-PBE.

Peak list (6 most intense, 2θ from 15° to 90°, sorted by position)
| two_theta | d_spacing | I/Imax |
| --- | --- | --- |
| 23.13 | 3.845 | 20 |
| 27.81 | 3.207 | 100 |
| 39.46 | 2.284 | 38 |
| 40.02 | 2.253 | 38 |
| 49.44 | 1.844 | 21 |
| 65.41 | 1.427 | 18 |

Crystal structure
a b c (Å): 7.8039 7.8039 7.9476
angles (deg): 99.42 99.42 120.00
Positions (direct):
Na (0.0000, 0.0000, 0.0000)
Na (0.3344, 0.6656, 0.0000)
Na (0.6656, 0.3344, 0.0000)
Pm (0.5000, 0.5000, 0.5000)
Pu (0.1668, 0.8332, 0.5000)
Pu (0.8332, 0.1668, 0.5000)
Te (0.0849, 0.4214, 0.2645)
Te (0.2419, 0.2419, 0.7357)
Te (0.4214, 0.0849, 0.2645)
Te (0.5786, 0.9151, 0.7355)
Te (0.7581, 0.7581, 0.2643)
Te (0.9151, 0.5786, 0.7355)

***

This entry pairs a crystal structure of La6Te5N2 with its theoretical powder diffractogram. Radiation: Cu Kα (λ = 1.5418 Å). Structure: a crystal structure in Alexandria, relaxed with GGA-PBE.

Peak list (6 most intense, 2θ from 15° to 90°, sorted by position)
| two_theta | d_spacing | I/Imax |
| --- | --- | --- |
| 25.34 | 3.515 | 54 |
| 27.84 | 3.205 | 76 |
| 30.89 | 2.895 | 69 |
| 31.90 | 2.806 | 100 |
| 33.83 | 2.650 | 37 |
| 36.42 | 2.467 | 64 |

Crystal structure
a b c (Å): 12.4623 15.1114 4.1897
angles (deg): 90.00 90.00 90.00
Positions (direct):
La (0.0275, 0.1260, 0.0000)
La (0.1726, 0.6060, 0.0000)
La (0.1769, 0.3030, 0.5000)
La (0.3231, 0.8030, 0.5000)
La (0.3274, 0.1060, 0.0000)
La (0.4725, 0.6260, 0.0000)
La (0.5275, 0.3740, 0.0000)
La (0.6726, 0.8940, 0.0000)
La (0.6769, 0.1970, 0.5000)
La (0.8231, 0.6970, 0.5000)
La (0.8274, 0.3940, 0.0000)
La (0.9725, 0.8740, 0.0000)
Te (0.0000, 0.5000, 0.5000)
Te (0.0770, 0.7437, 0.5000)
Te (0.1658, 0.9938, 0.5000)
Te (0.3342, 0.4938, 0.5000)
Te (0.4230, 0.2437, 0.5000)
Te (0.5000, 0.0000, 0.5000)
Te (0.5770, 0.7563, 0.5000)
Te (0.6658, 0.5062, 0.5000)
Te (0.8342, 0.0062, 0.5000)
Te (0.9230, 0.2563, 0.5000)
N (0.1755, 0.2161, 0.0000)
N (0.3245, 0.7161, 0.0000)
N (0.6755, 0.2839, 0.0000)
N (0.8245, 0.7839, 0.0000)